Starting from a cell relaxed with GGA-PBE, the X-ray diffraction stick pattern of Sr2CuAs4Rh3 was computed for Cu Kα (weighted mean of Kα1 and Kα2).
Peak positions follow from Bragg's law for the DFT cell and can differ from measured ones.

Crystal structure
Cell lengths 4.385, 4.385, 10.066 Å; angles 90.00, 90.00, 90.00 degrees
Element x y z (fractional)
Sr 0.000 0.500 0.249
Sr 0.500 0.000 0.751
Cu 0.000 0.000 0.500
As 0.000 0.000 0.000
As 0.000 0.500 0.630
As 0.500 0.000 0.370
As 0.500 0.500 0.000
Rh 0.000 0.500 0.880
Rh 0.500 0.000 0.120
Rh 0.500 0.500 0.500

Most intense lines, 10° ≤ 2θ ≤ 90°, in order of rising 2θ:
d_spacing  intensity
2.665  79
2.640  100
2.193  88
1.954  43
1.830  25
1.693  39
1.550  29
1.405  20
1.337  23
1.091  18

---

Starting from a cell relaxed with GGA-PBE, the X-ray diffraction stick pattern of Tb2CuAs4Rh3 was computed for Cu Kα (weighted mean of Kα1 and Kα2).
Peak positions follow from Bragg's law for the DFT cell and can differ from measured ones.

Crystal structure
Cell lengths 4.225, 4.225, 10.132 Å; angles 90.00, 90.00, 90.00 degrees
Element x y z (fractional)
Tb 0.000 0.500 0.247
Tb 0.500 0.000 0.753
Cu 0.500 0.500 0.000
As 0.000 0.000 0.500
As 0.000 0.500 0.864
As 0.500 0.000 0.136
As 0.500 0.500 0.500
Rh 0.000 0.000 0.000
Rh 0.000 0.500 0.625
Rh 0.500 0.000 0.375

Most intense lines, 10° ≤ 2θ ≤ 90°, in order of rising 2θ:
d_spacing  intensity
2.987  21
2.638  72
2.573  100
2.112  64
1.932  13
1.827  30
1.649  35
1.494  21
1.382  23
1.292  22

---

Starting from a cell relaxed with GGA-PBE, the X-ray diffraction stick pattern of Cu8AsS6 was computed for Cu Kα (weighted mean of Kα1 and Kα2).
Peak positions follow from Bragg's law for the DFT cell and can differ from measured ones.

Crystal structure
Cell lengths 6.232, 6.232, 6.232 Å; angles 98.10, 98.10, 98.10 degrees
Element x y z (fractional)
Cu 0.145 0.623 0.280
Cu 0.228 0.228 0.228
Cu 0.280 0.145 0.623
Cu 0.377 0.720 0.855
Cu 0.623 0.280 0.145
Cu 0.720 0.855 0.377
Cu 0.772 0.772 0.772
Cu 0.855 0.377 0.720
As 0.500 0.500 0.500
S 0.080 0.796 0.613
S 0.204 0.387 0.920
S 0.387 0.920 0.204
S 0.613 0.080 0.796
S 0.796 0.613 0.080
S 0.920 0.204 0.387

Most intense lines, 10° ≤ 2θ ≤ 90°, in order of rising 2θ:
d_spacing  intensity
3.723  12
3.043  23
2.718  15
2.556  100
2.353  12
2.028  13
1.836  51
1.779  41
1.537  11
1.278  12

---

Starting from a cell relaxed with GGA-PBE, the X-ray diffraction stick pattern of Cu2As2S3 was computed for Cu Kα (weighted mean of Kα1 and Kα2).
Peak positions follow from Bragg's law for the DFT cell and can differ from measured ones.

Crystal structure
Cell lengths 6.931, 7.290, 5.970 Å; angles 90.00, 112.87, 90.00 degrees
Element x y z (fractional)
Cu 0.172 0.092 0.222
Cu 0.172 0.408 0.722
Cu 0.828 0.592 0.278
Cu 0.828 0.908 0.778
As 0.365 0.583 0.327
As 0.365 0.917 0.827
As 0.635 0.083 0.173
As 0.635 0.417 0.673
S 0.105 0.109 0.813
S 0.105 0.391 0.313
S 0.500 0.000 0.500
S 0.500 0.500 0.000
S 0.895 0.609 0.687
S 0.895 0.891 0.187

Most intense lines, 10° ≤ 2θ ≤ 90°, in order of rising 2θ:
d_spacing  intensity
3.645  80
3.038  100
2.925  89
2.750  62
2.656  53
2.483  71
2.269  63
1.934  83
1.778  44
1.719  69

---

Starting from a cell relaxed with GGA-PBE, the X-ray diffraction stick pattern of Cu6As2S was computed for Cu Kα (weighted mean of Kα1 and Kα2).
Peak positions follow from Bragg's law for the DFT cell and can differ from measured ones.

Crystal structure
Cell lengths 6.165, 4.311, 12.086 Å; angles 90.00, 120.26, 90.00 degrees
Element x y z (fractional)
Cu 0.053 0.242 0.196
Cu 0.053 0.258 0.696
Cu 0.285 0.161 0.940
Cu 0.285 0.339 0.440
Cu 0.437 0.613 0.672
Cu 0.437 0.887 0.172
Cu 0.563 0.113 0.828
Cu 0.563 0.387 0.328
Cu 0.715 0.661 0.560
Cu 0.715 0.839 0.060
Cu 0.947 0.742 0.304
Cu 0.947 0.758 0.804
As 0.372 0.625 0.855
As 0.372 0.875 0.355
As 0.628 0.125 0.645
As 0.628 0.375 0.145
S 0.000 0.000 0.000
S 0.000 0.500 0.500

Most intense lines, 10° ≤ 2θ ≤ 90°, in order of rising 2θ:
d_spacing  intensity
5.292  75
2.507  100
2.474  91
2.111  72
2.029  75
1.998  85
1.983  78
1.897  99
1.824  65
1.794  69

---

Starting from a cell relaxed with GGA-PBE, the X-ray diffraction stick pattern of Cu2AsS2 was computed for Cu Kα (weighted mean of Kα1 and Kα2).
Peak positions follow from Bragg's law for the DFT cell and can differ from measured ones.

Crystal structure
Cell lengths 4.035, 4.092, 5.941 Å; angles 90.00, 106.95, 90.00 degrees
Element x y z (fractional)
Cu 0.000 0.000 0.000
Cu 0.460 0.500 0.995
As 0.875 0.500 0.383
S 0.182 0.000 0.397
S 0.885 0.500 0.811

Most intense lines, 10° ≤ 2θ ≤ 90°, in order of rising 2θ:
d_spacing  intensity
5.683  41
4.092  20
3.859  30
2.841  47
2.808  33
2.760  100
2.330  41
2.046  39
1.814  42
1.752  28

---

Starting from a cell relaxed with GGA-PBE, the X-ray diffraction stick pattern of Cu2AsS4 was computed for Cu Kα (weighted mean of Kα1 and Kα2).
Peak positions follow from Bragg's law for the DFT cell and can differ from measured ones.

Crystal structure
Cell lengths 5.409, 5.409, 9.858 Å; angles 90.00, 90.00, 90.00 degrees
Element x y z (fractional)
Cu 0.000 0.500 0.250
Cu 0.000 0.500 0.750
Cu 0.500 0.000 0.250
Cu 0.500 0.000 0.750
As 0.000 0.000 0.000
As 0.500 0.500 0.500
S 0.245 0.245 0.124
S 0.245 0.755 0.876
S 0.255 0.255 0.624
S 0.255 0.745 0.376
S 0.745 0.255 0.376
S 0.745 0.745 0.624
S 0.755 0.245 0.876
S 0.755 0.755 0.124

Most intense lines, 10° ≤ 2θ ≤ 90°, in order of rising 2θ:
d_spacing  intensity
4.742  31
3.022  100
2.808  7
2.349  8
1.912  23
1.822  40
1.616  28
1.510  13
1.352  7
1.185  10

---

Starting from a cell relaxed with GGA-PBE, the X-ray diffraction stick pattern of Cu12Sb3AsS16 was computed for Cu Kα (weighted mean of Kα1 and Kα2).
Peak positions follow from Bragg's law for the DFT cell and can differ from measured ones.

Crystal structure
Cell lengths 15.268, 6.603, 6.603 Å; angles 70.63, 90.00, 90.00 degrees
Element x y z (fractional)
Cu 0.000 0.000 0.000
Cu 0.121 0.001 0.497
Cu 0.121 0.497 0.001
Cu 0.245 0.498 0.498
Cu 0.374 0.000 0.498
Cu 0.374 0.498 0.000
Cu 0.500 0.999 0.999
Cu 0.626 0.000 0.498
Cu 0.626 0.498 0.000
Cu 0.755 0.498 0.498
Cu 0.879 0.001 0.497
Cu 0.879 0.497 0.001
Sb 0.249 0.999 0.999
Sb 0.500 0.499 0.499
Sb 0.751 0.999 0.999
As 0.000 0.498 0.498
S 0.000 0.370 0.876
S 0.000 0.876 0.370
S 0.118 0.866 0.866
S 0.123 0.370 0.370
S 0.248 0.396 0.869
S 0.248 0.869 0.396
S 0.365 0.368 0.368
S 0.382 0.867 0.867
S 0.500 0.368 0.897
S 0.500 0.897 0.368
S 0.618 0.867 0.867
S 0.635 0.368 0.368
S 0.752 0.396 0.869
S 0.752 0.869 0.396
S 0.877 0.370 0.370
S 0.882 0.866 0.866

Most intense lines, 10° ≤ 2θ ≤ 90°, in order of rising 2θ:
d_spacing  intensity
3.115  100
2.697  15
1.907  58
1.627  40
1.557  4
1.350  6
1.238  15
1.207  3
1.102  12
1.100  6

---

Starting from a cell relaxed with GGA-PBE, the X-ray diffraction stick pattern of Cu2AsSe2S was computed for Cu Kα (weighted mean of Kα1 and Kα2).
Peak positions follow from Bragg's law for the DFT cell and can differ from measured ones.

Crystal structure
Cell lengths 6.794, 6.794, 6.375 Å; angles 90.00, 90.00, 67.34 degrees
Element x y z (fractional)
Cu 0.008 0.327 0.000
Cu 0.327 0.008 0.500
Cu 0.673 0.992 0.000
Cu 0.992 0.673 0.500
As 0.312 0.688 0.003
As 0.688 0.312 0.503
Se 0.029 0.321 0.375
Se 0.321 0.029 0.875
Se 0.679 0.971 0.375
Se 0.971 0.679 0.875
S 0.264 0.736 0.354
S 0.736 0.264 0.854

Most intense lines, 10° ≤ 2θ ≤ 90°, in order of rising 2θ:
d_spacing  intensity
3.766  59
3.371  100
3.243  39
3.187  83
2.980  70
2.090  83
1.884  45
1.851  42
1.798  81
1.748  46

---

Starting from a cell relaxed with GGA-PBE, the X-ray diffraction stick pattern of Tl2CuAsS4 was computed for Cu Kα (weighted mean of Kα1 and Kα2).
Peak positions follow from Bragg's law for the DFT cell and can differ from measured ones.

Crystal structure
Cell lengths 12.681, 11.280, 7.171 Å; angles 83.67, 62.14, 34.19 degrees
Element x y z (fractional)
Tl 0.057 0.057 0.693
Tl 0.307 0.307 0.943
Tl 0.693 0.693 0.057
Tl 0.943 0.943 0.307
Cu 0.375 0.375 0.375
Cu 0.625 0.625 0.625
As 0.125 0.125 0.125
As 0.875 0.875 0.875
S 0.049 0.315 0.388
S 0.252 0.612 0.685
S 0.315 0.049 0.748
S 0.388 0.748 0.049
S 0.612 0.252 0.951
S 0.685 0.951 0.252
S 0.748 0.388 0.315
S 0.951 0.685 0.612

Most intense lines, 10° ≤ 2θ ≤ 90°, in order of rising 2θ:
d_spacing  intensity
5.268  20
4.346  42
3.395  19
3.260  24
3.165  100
2.734  34
2.716  47
2.305  28
1.882  19
1.757  34

---

Starting from a cell relaxed with GGA-PBE, the X-ray diffraction stick pattern of TlCu2AsS4 was computed for Cu Kα (weighted mean of Kα1 and Kα2).
Peak positions follow from Bragg's law for the DFT cell and can differ from measured ones.

Crystal structure
Cell lengths 5.598, 5.598, 11.383 Å; angles 90.00, 90.00, 90.00 degrees
Element x y z (fractional)
Tl 0.000 0.000 0.000
Tl 0.500 0.500 0.500
Cu 0.000 0.500 0.250
Cu 0.000 0.500 0.750
Cu 0.500 0.000 0.250
Cu 0.500 0.000 0.750
As 0.000 0.000 0.500
As 0.500 0.500 0.000
S 0.239 0.239 0.355
S 0.239 0.761 0.645
S 0.261 0.261 0.855
S 0.261 0.739 0.145
S 0.739 0.261 0.145
S 0.739 0.739 0.855
S 0.761 0.239 0.645
S 0.761 0.761 0.355

Most intense lines, 10° ≤ 2θ ≤ 90°, in order of rising 2θ:
d_spacing  intensity
5.023  19
3.250  100
2.846  8
2.799  14
1.995  37
1.979  19
1.711  15
1.690  29
1.294  11
1.146  12